(1)
# SrBeB12
Computed powder diffraction line list, λ = 1.5418 Å (Cu Kα). Input: a structure optimized by DFT (PBE).

Cell and atoms:
Cell: 4.1544 4.1544 8.2938 Å, 90.00 90.00 90.00°
Space group P4/mmm (No. 123)
Asymmetric unit:
Sr  0.0000  0.0000  0.0000 x1
Be  0.0000  0.0000  0.5000 x1
B  0.2007  0.5000  0.2539 x8
B  0.5000  0.5000  0.1020 x2
B  0.5000  0.5000  0.4014 x2

Main lines, by intensity (2θ from 5° to 70°):
2θ = 30.45°, 2.936 Å, I 100.0
2θ = 10.67°, 8.294 Å, I 99.7
2θ = 23.96°, 3.714 Å, I 70.6
2θ = 37.52°, 2.397 Å, I 48.8
2θ = 49.06°, 1.857 Å, I 42.0
2θ = 32.34°, 2.768 Å, I 41.9
2θ = 67.70°, 1.384 Å, I 35.3
2θ = 43.60°, 2.076 Å, I 26.1

(2)
# Na2LiSi2
Computed powder diffraction line list, λ = 1.5418 Å (Cu Kα). Input: a structure optimized by DFT (PBE).

Cell and atoms:
Cell: 3.4625 3.4625 20.7665 Å, 90.00 90.00 90.00°
Space group I4/mmm (No. 139)
Asymmetric unit:
Na  0.0000  0.0000  0.1217 x4
Li  0.0000  0.0000  0.5000 x2
Si  0.0000  0.5000  0.2500 x4

Main lines, by intensity (2θ from 5° to 70°):
2θ = 8.52°, 10.383 Å, I 100.0
2θ = 40.75°, 2.214 Å, I 30.1
2θ = 37.75°, 2.383 Å, I 15.3
2θ = 34.55°, 2.596 Å, I 14.7
2θ = 28.83°, 3.097 Å, I 11.1
2θ = 33.70°, 2.660 Å, I 9.6
2θ = 25.74°, 3.461 Å, I 9.4
2θ = 26.09°, 3.415 Å, I 9.3

Number 1 is which compound? SrBeB12